Record 1
BaAg6BrO4: simulated X-ray powder pattern (copper Kα), based on a PBE-relaxed structure.

Atomic structure:
```
data_BaAg6BrO4
_chemical_formula_sum 'Ba1 Ag6 Br1 O4'
_cell_length_a 5.7356
_cell_length_b 5.7356
_cell_length_c 7.7800
_cell_angle_alpha 90.00
_cell_angle_beta 90.00
_cell_angle_gamma 120.00
_symmetry_space_group_name_H-M 'P 6/m m m'
_symmetry_Int_Tables_number 191
_symmetry_space_group_name_Hall '-P 6 2'
loop_
_atom_site_label
_atom_site_type_symbol
_atom_site_fract_x
_atom_site_fract_y
_atom_site_fract_z
Ba1 Ba 0.0000 0.0000 0.0000
Ag1 Ag 0.0000 0.5000 0.3261
Br1 Br 0.0000 0.0000 0.5000
O1 O 0.3333 0.6667 0.1013
```

The 10 most intense peaks (5° ≤ 2θ ≤ 70°), by intensity:
2θ (°), d/Å, I/Imax
36.17, 2.484, 1000
29.16, 3.063, 542
50.91, 1.794, 524
11.37, 7.780, 296
39.02, 2.308, 288
34.59, 2.593, 250
65.05, 1.434, 203
38.03, 2.366, 196
54.25, 1.691, 184
21.22, 4.187, 161

Record 2
PmZn12Ag6: simulated X-ray powder pattern (copper Kα), based on a PBE-relaxed structure.

Atomic structure:
```
data_PmZn12Ag6
_chemical_formula_sum 'Pm3 Zn36 Ag18'
_cell_length_a 11.5249
_cell_length_b 11.5249
_cell_length_c 8.9312
_cell_angle_alpha 90.00
_cell_angle_beta 90.00
_cell_angle_gamma 120.00
_symmetry_space_group_name_H-M 'R -3 m'
_symmetry_Int_Tables_number 166
_symmetry_space_group_name_Hall '-R 3 2"'
loop_
_atom_site_label
_atom_site_type_symbol
_atom_site_fract_x
_atom_site_fract_y
_atom_site_fract_z
Pm1 Pm 0.0000 0.0000 0.0000
Zn1 Zn 0.0000 0.3920 0.5000
Zn2 Zn 0.0828 0.1657 0.2938
Ag1 Ag 0.0556 0.5278 0.2349
```

The 10 most intense peaks (5° ≤ 2θ ≤ 70°), by intensity:
2θ (°), d/Å, I/Imax
33.90, 2.645, 1000
40.67, 2.218, 995
44.46, 2.038, 982
25.63, 3.475, 428
50.05, 1.822, 370
31.04, 2.881, 358
69.15, 1.358, 223
66.39, 1.408, 205
47.32, 1.921, 179
46.62, 1.948, 128

Record 3
CaCu6As4: simulated X-ray powder pattern (copper Kα), based on a PBE-relaxed structure.

Atomic structure:
```
data_CaCu6As4
_chemical_formula_sum 'Ca2 Cu12 As8'
_cell_length_a 4.104
_cell_length_b 4.104
_cell_length_c 21.872
_cell_angle_alpha 90.00
_cell_angle_beta 90.00
_cell_angle_gamma 90.00
_symmetry_space_group_name_H-M 'I 4/m m m'
_symmetry_Int_Tables_number 139
_symmetry_space_group_name_Hall '-I 4 2'
loop_
_atom_site_label
_atom_site_type_symbol
_atom_site_fract_x
_atom_site_fract_y
_atom_site_fract_z
Ca1 Ca 0.000 0.000 0.000
Cu1 Cu 0.000 0.500 0.121
Cu2 Cu 0.000 0.500 0.250
As1 As 0.000 0.000 0.186
As2 As 0.000 0.000 0.441
```

The 10 most intense peaks (5° ≤ 2θ ≤ 70°), by intensity:
2θ (°), d/Å, I/Imax
45.59, 1.990, 1000
44.13, 2.052, 713
29.85, 2.993, 364
24.90, 3.576, 338
64.19, 1.451, 220
39.70, 2.270, 206
31.91, 2.805, 183
8.08, 10.936, 168
35.01, 2.563, 167
51.05, 1.789, 150

Record 4
Ta4SiPb: simulated X-ray powder pattern (copper Kα), based on a PBE-relaxed structure.

Atomic structure:
```
data_Ta4SiPb
_chemical_formula_sum 'Ta16 Si4 Pb4'
_cell_length_a 7.830
_cell_length_b 7.830
_cell_length_c 7.830
_cell_angle_alpha 90.00
_cell_angle_beta 90.00
_cell_angle_gamma 90.00
_symmetry_space_group_name_H-M 'F -4 3 m'
_symmetry_Int_Tables_number 216
_symmetry_space_group_name_Hall 'F -4 2 3'
loop_
_atom_site_label
_atom_site_type_symbol
_atom_site_fract_x
_atom_site_fract_y
_atom_site_fract_z
Ta1 Ta 0.125 0.125 0.125
Si1 Si 0.000 0.000 0.500
Pb1 Pb 0.250 0.250 0.750
```

The 10 most intense peaks (5° ≤ 2θ ≤ 70°), by intensity:
2θ (°), d/Å, I/Imax
38.12, 2.361, 1000
39.88, 2.260, 552
61.54, 1.507, 336
19.64, 4.521, 312
67.69, 1.384, 295
32.34, 2.768, 147
46.39, 1.957, 115
22.71, 3.915, 101
50.83, 1.796, 82
57.68, 1.598, 58

Record 5
CePu3Zn8: simulated X-ray powder pattern (copper Kα), based on a PBE-relaxed structure.

Atomic structure:
```
data_CePu3Zn8
_chemical_formula_sum 'Ce1 Pu3 Zn8'
_cell_length_a 5.5085
_cell_length_b 5.5085
_cell_length_c 8.7064
_cell_angle_alpha 90.00
_cell_angle_beta 90.00
_cell_angle_gamma 120.00
_symmetry_space_group_name_H-M 'P 3 m 1'
_symmetry_Int_Tables_number 156
_symmetry_space_group_name_Hall 'P 3 -2"'
loop_
_atom_site_label
_atom_site_type_symbol
_atom_site_fract_x
_atom_site_fract_y
_atom_site_fract_z
Ce1 Ce 0.0000 0.0000 0.0000
Pu1 Pu 0.0000 0.0000 0.3877
Pu2 Pu 0.6667 0.3333 0.5040
Pu3 Pu 0.6667 0.3333 0.8842
Zn1 Zn 0.0008 0.5004 0.1947
Zn2 Zn 0.1680 0.3360 0.6926
Zn3 Zn 0.3333 0.6667 0.4432
Zn4 Zn 0.3333 0.6667 0.9438
```

The 10 most intense peaks (5° ≤ 2θ ≤ 70°), by intensity:
2θ (°), d/Å, I/Imax
38.69, 2.328, 1000
36.23, 2.479, 857
32.51, 2.754, 673
39.16, 2.300, 473
60.44, 1.532, 399
66.48, 1.406, 280
62.15, 1.494, 249
68.08, 1.377, 223
27.74, 3.216, 185
18.60, 4.771, 169

Record 6
K2PtC4I2N4: simulated X-ray powder pattern (copper Kα), based on a PBE-relaxed structure.

Atomic structure:
```
data_K2PtC4I2N4
_chemical_formula_sum 'K4 Pt2 C8 I4 N8'
_cell_length_a 7.401
_cell_length_b 9.899
_cell_length_c 9.102
_cell_angle_alpha 90.00
_cell_angle_beta 108.29
_cell_angle_gamma 90.00
_symmetry_space_group_name_H-M 'P 1 21/c 1'
_symmetry_Int_Tables_number 14
_symmetry_space_group_name_Hall '-P 2ybc'
loop_
_atom_site_label
_atom_site_type_symbol
_atom_site_fract_x
_atom_site_fract_y
_atom_site_fract_z
K1 K 0.046 0.198 0.386
Pt1 Pt 0.500 0.000 0.000
C1 C 0.302 0.040 0.796
C2 C 0.307 0.047 0.106
I1 I 0.382 0.738 0.971
N1 N 0.181 0.063 0.680
N2 N 0.192 0.079 0.163
```

The 10 most intense peaks (5° ≤ 2θ ≤ 70°), by intensity:
2θ (°), d/Å, I/Imax
20.51, 4.329, 1000
12.60, 7.027, 809
28.93, 3.086, 542
13.60, 6.510, 535
16.23, 5.463, 490
42.06, 2.148, 412
26.93, 3.311, 314
28.71, 3.110, 272
20.68, 4.296, 270
27.41, 3.254, 224